No. 1
Diffraction record for Li2Mn4O3F8. The PXRD pattern is computed, not measured: it uses a cell relaxed with PBE+U and Cu Kα X-rays.

Cell and atoms:
```
data_Li2Mn4O3F8
_cell_length_a 5.124
_cell_length_b 6.586
_cell_length_c 6.942
_cell_angle_alpha 108.40
_cell_angle_beta 105.91
_cell_angle_gamma 96.95
_symmetry_space_group_name_H-M 'P -1'
_symmetry_Int_Tables_number 2
loop_
_symmetry_equiv_pos_as_xyz
'x,y,z'
'-x,-y,-z'
loop_
_atom_site_label
_atom_site_fract_x
_atom_site_fract_y
_atom_site_fract_z
Li1 0.168 0.182 0.398
Mn1 0.165 0.623 0.236
Mn2 0.395 0.248 0.974
O1 0.239 0.522 0.962
O2 0.500 0.000 0.000
F1 0.005 0.896 0.192
F2 0.108 0.707 0.499
F3 0.301 0.346 0.258
F4 0.451 0.205 0.656
```

Largest 10 diffraction maxima, in order of rising 2θ, 2θ from 10° to 80°:
6.214 Å, I = 100; 6.085 Å, I = 50; 5.458 Å, I = 83; 3.771 Å, I = 72; 3.305 Å, I = 72; 3.123 Å, I = 31; 2.883 Å, I = 41; 2.183 Å, I = 73; 2.085 Å, I = 62; 2.077 Å, I = 62

No. 2
Diffraction record for Li7MnO4F2. The PXRD pattern is computed, not measured: it uses a cell relaxed with PBE+U and Cu Kα X-rays.

Cell and atoms:
```
data_Li7MnO4F2
_cell_length_a 5.501
_cell_length_b 5.510
_cell_length_c 5.734
_cell_angle_alpha 90.81
_cell_angle_beta 116.77
_cell_angle_gamma 115.17
_symmetry_space_group_name_H-M 'P 1'
_symmetry_Int_Tables_number 1
loop_
_symmetry_equiv_pos_as_xyz
'x,y,z'
loop_
_atom_site_label
_atom_site_fract_x
_atom_site_fract_y
_atom_site_fract_z
Li1 0.000 0.000 0.000
Li2 0.050 0.270 0.672
Li3 0.152 0.448 0.326
Li4 0.323 0.738 0.036
Li5 0.489 0.913 0.701
Li6 0.620 0.306 0.044
Li7 0.765 0.558 0.718
Mn1 0.898 0.807 0.371
O1 0.082 0.612 0.614
O2 0.750 0.029 0.134
O3 0.761 0.884 0.604
O4 0.985 0.671 0.116
F1 0.325 0.376 0.087
F2 0.390 0.229 0.643
```

Largest 10 diffraction maxima, in order of rising 2θ, 2θ from 10° to 80°:
4.951 Å, I = 40; 4.822 Å, I = 64; 4.588 Å, I = 74; 4.452 Å, I = 73; 4.299 Å, I = 68; 4.001 Å, I = 58; 3.917 Å, I = 45; 2.637 Å, I = 100; 2.368 Å, I = 53; 2.341 Å, I = 48

No. 3
Diffraction record for LiMn2O2F3. The PXRD pattern is computed, not measured: it uses a cell relaxed with PBE+U and Cu Kα X-rays.

Cell and atoms:
```
data_LiMn2O2F3
_cell_length_a 11.190
_cell_length_b 4.989
_cell_length_c 6.874
_cell_angle_alpha 90.00
_cell_angle_beta 109.65
_cell_angle_gamma 90.00
_symmetry_space_group_name_H-M 'C 1 2 1'
_symmetry_Int_Tables_number 5
loop_
_symmetry_equiv_pos_as_xyz
'x,y,z'
'-x,y,-z'
'x+1/2,y+1/2,z'
'-x+1/2,y+1/2,-z'
loop_
_atom_site_label
_atom_site_fract_x
_atom_site_fract_y
_atom_site_fract_z
Li1 0.003 0.000 0.249
Mn1 0.185 0.482 0.612
Mn2 0.187 0.536 0.113
O1 0.196 0.690 0.377
O2 0.198 0.330 0.879
F1 0.000 0.298 0.500
F2 0.000 0.728 0.000
F3 0.120 0.217 0.195
F4 0.120 0.803 0.694
```

Largest 10 diffraction maxima, in order of rising 2θ, 2θ from 10° to 80°:
5.269 Å, I = 100; 4.509 Å, I = 36; 3.297 Å, I = 37; 2.872 Å, I = 84; 2.830 Å, I = 74; 2.393 Å, I = 23; 2.255 Å, I = 18; 2.066 Å, I = 22; 1.941 Å, I = 30; 1.764 Å, I = 45

No. 4
Diffraction record for Li2Mn4OF8. The PXRD pattern is computed, not measured: it uses a cell relaxed with PBE+U and Cu Kα X-rays.

Cell and atoms:
```
data_Li2Mn4OF8
_cell_length_a 8.275
_cell_length_b 10.091
_cell_length_c 10.468
_cell_angle_alpha 66.76
_cell_angle_beta 89.50
_cell_angle_gamma 89.35
_symmetry_space_group_name_H-M 'P 1'
_symmetry_Int_Tables_number 1
loop_
_symmetry_equiv_pos_as_xyz
'x,y,z'
loop_
_atom_site_label
_atom_site_fract_x
_atom_site_fract_y
_atom_site_fract_z
Li1 0.000 0.000 0.000
Li2 0.003 0.642 0.058
Li3 0.402 0.124 0.545
Li4 0.434 0.482 0.494
Li5 0.489 0.293 0.006
Li6 0.493 0.948 0.050
Li7 0.933 0.820 0.523
Li8 0.938 0.450 0.570
Mn1 0.104 0.913 0.731
Mn2 0.168 0.732 0.317
Mn3 0.221 0.536 0.746
Mn4 0.226 0.068 0.211
Mn5 0.241 0.182 0.770
Mn6 0.309 0.411 0.252
Mn7 0.437 0.657 0.957
Mn8 0.509 0.777 0.588
Mn9 0.645 0.240 0.775
Mn10 0.648 0.048 0.311
Mn11 0.704 0.389 0.316
Mn12 0.743 0.925 0.777
Mn13 0.775 0.728 0.276
Mn14 0.823 0.533 0.827
Mn15 0.926 0.258 0.109
Mn16 0.982 0.151 0.475
O1 0.081 0.146 0.049
O2 0.185 0.120 0.609
O3 0.805 0.206 0.295
O4 0.892 0.955 0.611
F1 0.007 0.655 0.690
F2 0.096 0.374 0.719
F3 0.112 0.902 0.388
F4 0.147 0.247 0.283
F5 0.185 0.966 0.899
F6 0.232 0.610 0.089
F7 0.245 0.519 0.378
F8 0.311 0.757 0.753
F9 0.345 0.877 0.205
F10 0.350 0.641 0.553
F11 0.378 0.471 0.909
F12 0.424 0.352 0.682
F13 0.449 0.177 0.192
F14 0.458 0.148 0.930
F15 0.461 0.987 0.468
F16 0.473 0.306 0.414
F17 0.528 0.483 0.137
F18 0.559 0.087 0.693
F19 0.565 0.831 0.955
F20 0.605 0.570 0.372
F21 0.633 0.689 0.780
F22 0.675 0.938 0.174
F23 0.708 0.817 0.451
F24 0.712 0.331 0.960
F25 0.755 0.445 0.685
F26 0.824 0.079 0.858
F27 0.846 0.566 0.197
F28 0.855 0.325 0.498
F29 0.929 0.778 0.891
F30 0.956 0.642 0.435
F31 0.992 0.478 0.983
F32 0.992 0.813 0.157
```

Largest 10 diffraction maxima, in order of rising 2θ, 2θ from 10° to 80°:
4.809 Å, I = 100; 4.375 Å, I = 28; 4.316 Å, I = 37; 4.272 Å, I = 68; 3.387 Å, I = 35; 3.144 Å, I = 76; 3.129 Å, I = 78; 2.859 Å, I = 68; 2.206 Å, I = 36; 1.745 Å, I = 34